Record 1
Diffraction record for TbZr2Sb4. The powder diffraction line list is simulated, not measured: it uses a cell relaxed with PBE and Cu Kα.
Intensities are scaled so that the largest is 100.

Cell and atoms:
Cell lengths 4.1418, 13.8175, 13.7574 Å; angles 90.00, 90.00, 90.00 degrees
Space group Cmcm (No. 63)
Inequivalent atoms, fractional coordinates:
Tb: 0.0000 0.1091 0.2500 x4
Zr: 0.0000 0.3646 0.0549 x8
Sb: 0.0000 0.0000 0.0000 x4
Sb: 0.0000 0.2630 0.6320 x8
Sb: 0.0000 0.4406 0.2500 x4

Principal peaks in the range 2θ from 10° to 90°, most intense first:
- hkl 1 3 1, 29.7°, I 100.0
- hkl 0 2 4, 29.0°, I 62.1
- hkl 1 3 2, 31.8°, I 46.3
- hkl 1 1 5, 39.9°, I 44.8
- hkl 0 6 3, 44.0°, I 31.4
- hkl 0 6 2, 41.4°, I 27.3
- hkl 2 0 0, 43.7°, I 25.0
- hkl 2 2 4, 53.3°, I 22.9

Record 2
Diffraction record for Tb5ZrSb6. The powder diffraction line list is simulated, not measured: it uses a cell relaxed with PBE and Cu Kα.
Intensities are scaled so that the largest is 100.

Cell and atoms:
Cell lengths 7.5409, 13.0566, 7.5336 Å; angles 90.00, 109.55, 90.00 degrees
Space group C2/m (No. 12)
Inequivalent atoms, fractional coordinates:
Tb: 0.0000 0.0000 0.0000 x2
Tb: 0.0000 0.1652 0.5000 x4
Tb: 0.0000 0.3291 0.0000 x4
Zr: 0.0000 0.5000 0.5000 x2
Sb: 0.2407 0.5000 0.2526 x4
Sb: 0.2427 0.3377 0.7430 x8

Principal peaks in the range 2θ from 10° to 90°, most intense first:
- hkl 2 0 -2, 29.0°, I 100.0
- hkl 1 3 -3, 41.5°, I 75.4
- hkl 3 3 -5, 68.2°, I 28.1
- hkl 0 0 4, 51.4°, I 26.7
- hkl 2 0 -6, 75.7°, I 20.7
- hkl 4 0 -4, 60.2°, I 12.4
- hkl 5 3 -3, 68.1°, I 5.7
- hkl 1 3 5, 75.8°, I 4.2

Record 3
Diffraction record for Tc3Sb5. The powder diffraction line list is simulated, not measured: it uses a cell relaxed with PBE and Cu Kα.
Intensities are scaled so that the largest is 100.

Cell and atoms:
Cell lengths 6.5384, 14.3130, 7.6050 Å; angles 90.00, 107.78, 90.00 degrees
Space group Cm (No. 8)
Inequivalent atoms, fractional coordinates:
Tc: 0.0000 0.0000 0.0000 x2
Tc: 0.1731 0.5000 0.3528 x2
Tc: 0.3967 0.1629 0.7214 x4
Tc: 0.4590 0.2551 0.1718 x4
Sb: 0.1035 0.1763 0.8949 x4
Sb: 0.1393 0.0000 0.6778 x2
Sb: 0.1387 0.5000 0.6960 x2
Sb: 0.1582 0.3923 0.0534 x4
Sb: 0.2942 0.1073 0.3263 x4
Sb: 0.3134 0.3130 0.4597 x4

Principal peaks in the range 2θ from 10° to 90°, most intense first:
- hkl 2 4 -1, 37.4°, I 100.0
- hkl 1 5 1, 38.2°, I 69.0
- hkl 2 2 -2, 34.1°, I 43.2
- hkl 0 2 3, 39.4°, I 40.9
- hkl 0 6 1, 39.8°, I 38.4
- hkl 2 0 -1, 27.5°, I 38.0
- hkl 1 5 -2, 40.0°, I 34.5
- hkl 1 3 -3, 40.4°, I 33.0

Record 4
Diffraction record for Tc2Sb3. The powder diffraction line list is simulated, not measured: it uses a cell relaxed with PBE and Cu Kα.
Intensities are scaled so that the largest is 100.

Cell and atoms:
Cell lengths 3.3693, 3.3693, 31.2801 Å; angles 90.00, 90.00, 120.00 degrees
Space group R-3m (No. 166, hexagonal axes)
Inequivalent atoms, fractional coordinates:
Tc: 0.0000 0.0000 0.1012 x6
Sb: 0.0000 0.0000 0.2902 x6
Sb: 0.0000 0.0000 0.5000 x3

Principal peaks in the range 2θ from 10° to 90°, most intense first:
- hkl 0 1 5, 33.9°, I 100.0
- hkl 1 0 10, 42.4°, I 47.2
- hkl 1 1 0, 54.5°, I 26.2
- hkl 1 1 15, 72.1°, I 15.3
- hkl 2 0 5, 65.7°, I 14.1
- hkl 0 0 15, 43.4°, I 11.9
- hkl 0 2 10, 71.3°, I 9.8
- hkl 0 1 20, 68.0°, I 6.7

Record 5
Diffraction record for Th4TcSb. The powder diffraction line list is simulated, not measured: it uses a cell relaxed with PBE and Cu Kα.
Intensities are scaled so that the largest is 100.

Cell and atoms:
Cell lengths 7.4195, 7.4195, 6.2471 Å; angles 90.00, 90.00, 90.00 degrees
Space group P4/mcc (No. 124)
Inequivalent atoms, fractional coordinates:
Th: 0.1420 0.3187 0.0000 x8
Tc: 0.0000 0.0000 0.2500 x2
Sb: 0.5000 0.5000 0.2500 x2

Principal peaks in the range 2θ from 10° to 90°, most intense first:
- hkl 2 1 1, 30.5°, I 100.0
- hkl 3 1 0, 38.4°, I 27.2
- hkl 2 0 2, 37.6°, I 24.3
- hkl 2 1 3, 51.8°, I 23.6
- hkl 1 1 2, 33.4°, I 19.0
- hkl 3 3 2, 60.7°, I 16.4
- hkl 0 0 2, 28.6°, I 15.1
- hkl 4 1 1, 53.0°, I 13.3

Record 6
Diffraction record for Ti6Tc5Sb. The powder diffraction line list is simulated, not measured: it uses a cell relaxed with PBE and Cu Kα.
Intensities are scaled so that the largest is 100.

Cell and atoms:
Cell lengths 4.4224, 6.3876, 13.2268 Å; angles 90.00, 90.00, 90.00 degrees
Space group Immm (No. 71)
Inequivalent atoms, fractional coordinates:
Ti: 0.0000 0.2265 0.0000 x4
Ti: 0.0000 0.2607 0.3264 x8
Tc: 0.0000 0.0000 0.1687 x4
Tc: 0.0000 0.5000 0.1613 x4
Tc: 0.0000 0.5000 0.5000 x2
Sb: 0.0000 0.0000 0.5000 x2

Principal peaks in the range 2θ from 10° to 90°, most intense first:
- hkl 1 2 3, 40.4°, I 100.0
- hkl 2 0 0, 40.8°, I 24.7
- hkl 0 0 6, 40.9°, I 23.9
- hkl 1 0 3, 28.6°, I 18.2
- hkl 3 2 3, 74.0°, I 15.4
- hkl 2 0 6, 59.2°, I 15.3
- hkl 2 4 0, 73.1°, I 15.3
- hkl 1 2 9, 74.2°, I 14.6

Record 7
Diffraction record for TiTcSb6. The powder diffraction line list is simulated, not measured: it uses a cell relaxed with PBE and Cu Kα.
Intensities are scaled so that the largest is 100.

Cell and atoms:
Cell lengths 6.9907, 8.7384, 6.7683 Å; angles 90.00, 93.45, 90.00 degrees
Space group C2/m (No. 12)
Inequivalent atoms, fractional coordinates:
Ti: 0.0000 0.0000 0.0000 x2
Tc: 0.0000 0.5000 0.5000 x2
Sb: 0.1323 0.3285 0.8133 x8
Sb: 0.1643 0.0000 0.6427 x4

Principal peaks in the range 2θ from 10° to 90°, most intense first:
- hkl 1 3 1, 36.3°, I 100.0
- hkl 2 2 -2, 41.6°, I 78.3
- hkl 2 0 -1, 28.1°, I 77.8
- hkl 2 0 1, 29.5°, I 69.0
- hkl 0 2 1, 24.3°, I 57.2
- hkl 1 1 -2, 30.5°, I 41.8
- hkl 1 3 0, 33.3°, I 41.7
- hkl 3 3 0, 50.2°, I 38.3

Record 8
Diffraction record for U4TcSb. The powder diffraction line list is simulated, not measured: it uses a cell relaxed with PBE and Cu Kα.
Intensities are scaled so that the largest is 100.

Cell and atoms:
Cell lengths 5.4553, 5.5949, 8.9705 Å; angles 94.94, 95.85, 114.47 degrees
Space group P-1 (No. 2)
Inequivalent atoms, fractional coordinates:
U: 0.0261 0.4915 0.3371 x2
U: 0.1843 0.1771 0.1781 x2
U: 0.2357 0.2459 0.7868 x2
U: 0.4590 0.9304 0.6522 x2
Tc: 0.0000 0.0000 0.5000 x1
Tc: 0.5000 0.5000 0.5000 x1
Sb: 0.2732 0.7270 0.0057 x2

Principal peaks in the range 2θ from 10° to 90°, most intense first:
- hkl 1 1 -2, 33.5°, I 100.0
- hkl -1 1 3, 35.9°, I 95.7
- hkl 1 -1 3, 36.3°, I 89.2
- hkl 2 -2 0, 38.8°, I 84.4
- hkl 2 0 1, 39.6°, I 63.5
- hkl 0 2 1, 38.5°, I 49.4
- hkl 1 1 0, 30.4°, I 45.2
- hkl 0 0 2, 20.1°, I 32.9

Record 9
Diffraction record for Sb2Te. The powder diffraction line list is simulated, not measured: it uses a cell relaxed with PBE and Cu Kα.
Intensities are scaled so that the largest is 100.

Cell and atoms:
Cell lengths 4.4571, 13.4014, 6.2507 Å; angles 90.00, 90.00, 90.00 degrees
Space group Cmcm (No. 63)
Inequivalent atoms, fractional coordinates:
Sb: 0.0000 0.0093 0.2500 x4
Sb: 0.0000 0.3373 0.7500 x4
Te: 0.0000 0.3370 0.2500 x4

Principal peaks in the range 2θ from 10° to 90°, most intense first:
- hkl 1 3 0, 28.3°, I 100.0
- hkl 1 3 2, 40.6°, I 74.9
- hkl 0 0 2, 28.6°, I 49.4
- hkl 2 0 2, 50.2°, I 39.6
- hkl 2 0 0, 40.4°, I 37.5
- hkl 3 3 0, 66.4°, I 25.0
- hkl 1 3 4, 66.8°, I 16.8
- hkl 3 3 2, 73.7°, I 12.6

Record 10
Diffraction record for SbTe. The powder diffraction line list is simulated, not measured: it uses a cell relaxed with PBE and Cu Kα.
Intensities are scaled so that the largest is 100.

Cell and atoms:
Cell lengths 4.3658, 4.3658, 11.4871 Å; angles 90.00, 90.00, 120.00 degrees
Space group R-3m (No. 166, hexagonal axes)
Inequivalent atoms, fractional coordinates:
Sb: 0.0000 0.0000 0.0000 x3
Te: 0.0000 0.0000 0.5000 x3

Principal peaks in the range 2θ from 10° to 90°, most intense first:
- hkl 0 1 2, 28.3°, I 100.0
- hkl 1 0 4, 39.4°, I 40.7
- hkl 1 1 0, 41.4°, I 35.5
- hkl 2 0 2, 50.8°, I 19.3
- hkl 1 1 6, 64.8°, I 18.4
- hkl 1 2 2, 67.5°, I 16.2
- hkl 0 2 4, 58.4°, I 12.6
- hkl 2 1 4, 74.1°, I 12.4

Record 11
Diffraction record for Sb3Te. The powder diffraction line list is simulated, not measured: it uses a cell relaxed with PBE and Cu Kα.
Intensities are scaled so that the largest is 100.

Cell and atoms:
Cell lengths 4.3073, 6.3652, 4.5533 Å; angles 90.00, 90.00, 90.00 degrees
Space group Pmm2 (No. 25)
Inequivalent atoms, fractional coordinates:
Sb: 0.0000 0.0000 0.0000 x1
Sb: 0.0000 0.5000 0.0248 x1
Sb: 0.5000 0.5000 0.4710 x1
Te: 0.5000 0.0000 0.4980 x1

Principal peaks in the range 2θ from 10° to 90°, most intense first:
- hkl 1 0 1, 28.5°, I 100.0
- hkl 1 2 1, 40.4°, I 77.6
- hkl 0 2 0, 28.0°, I 53.0
- hkl 0 2 2, 49.2°, I 20.9
- hkl 0 0 2, 39.6°, I 19.7
- hkl 2 2 0, 51.2°, I 19.6
- hkl 0 4 2, 72.4°, I 18.6
- hkl 1 4 1, 65.8°, I 17.9

Record 12
Diffraction record for Sb3Te. The powder diffraction line list is simulated, not measured: it uses a cell relaxed with PBE and Cu Kα.
Intensities are scaled so that the largest is 100.

Cell and atoms:
Cell lengths 7.3736, 7.9937, 8.4575 Å; angles 90.00, 90.00, 90.00 degrees
Space group Pnma (No. 62)
Inequivalent atoms, fractional coordinates:
Sb: 0.0837 0.2500 0.1211 x4
Sb: 0.2421 0.5098 0.8696 x8
Te: 0.0871 0.2500 0.6204 x4

Principal peaks in the range 2θ from 10° to 90°, most intense first:
- hkl 1 2 2, 33.1°, I 100.0
- hkl 1 1 2, 26.7°, I 39.7
- hkl 3 0 2, 42.5°, I 29.6
- hkl 2 1 0, 26.6°, I 20.6
- hkl 2 3 0, 41.9°, I 17.9
- hkl 3 4 2, 64.0°, I 16.8
- hkl 0 0 4, 42.8°, I 14.6
- hkl 2 2 4, 55.1°, I 14.6

Record 13
Diffraction record for Sb2Te3. The powder diffraction line list is simulated, not measured: it uses a cell relaxed with PBE and Cu Kα.
Intensities are scaled so that the largest is 100.

Cell and atoms:
Cell lengths 3.3399, 3.3399, 15.7015 Å; angles 90.00, 90.00, 120.00 degrees
Space group P6/mmm (No. 191)
Inequivalent atoms, fractional coordinates:
Sb: 0.0000 0.0000 0.2005 x2
Te: 0.0000 0.0000 0.0000 x1
Te: 0.0000 0.0000 0.3928 x2

Principal peaks in the range 2θ from 10° to 90°, most intense first:
- hkl 1 0 0, 30.9°, I 100.0
- hkl 1 0 5, 42.5°, I 81.4
- hkl 0 0 5, 28.4°, I 40.7
- hkl 1 1 5, 63.0°, I 24.8
- hkl 1 1 0, 55.0°, I 19.3
- hkl 1 0 10, 67.9°, I 18.6
- hkl 2 0 5, 71.9°, I 16.8
- hkl 2 0 0, 64.4°, I 11.9

Record 14
Diffraction record for SbTe. The powder diffraction line list is simulated, not measured: it uses a cell relaxed with PBE and Cu Kα.
Intensities are scaled so that the largest is 100.

Cell and atoms:
Cell lengths 7.1274, 4.2684, 8.6006 Å; angles 90.00, 106.78, 90.00 degrees
Space group C2/m (No. 12)
Inequivalent atoms, fractional coordinates:
Sb: 0.1322 0.0000 0.3720 x4
Te: 0.2101 0.5000 0.1340 x4

Principal peaks in the range 2θ from 10° to 90°, most intense first:
- hkl 1 1 -2, 30.3°, I 100.0
- hkl 1 1 2, 35.4°, I 66.0
- hkl 3 1 -1, 43.6°, I 49.9
- hkl 2 0 1, 31.1°, I 41.2
- hkl 1 1 -1, 25.3°, I 38.3
- hkl 2 0 -3, 35.6°, I 28.5
- hkl 0 2 0, 42.4°, I 27.5
- hkl 2 0 0, 26.1°, I 24.2